1.
The following is a calculated powder diffraction line list of Nd6Ho4Er. It was derived from DFT lattice parameters and positions (PBE), using a wavelength of 1.5418 Å.

Top 6 peaks for 2θ = 10–80°, by angle:
- 28.47 deg, I = 100.0
- 29.92 deg, I = 32.7
- 30.04 deg, I = 92.3
- 34.17 deg, I = 64.1
- 37.48 deg, I = 27.6
- 37.63 deg, I = 27.7

Structure:
Cell: 9.598 9.598 9.598 Å, 138.76 138.76 59.74°
Atoms (fractional coordinates):
Nd  0.000  0.500  0.500
Nd  0.014  0.632  0.000
Nd  0.368  0.368  0.382
Nd  0.500  0.000  0.500
Nd  0.632  0.014  0.000
Nd  0.986  0.986  0.618
Ho  0.205  0.205  0.647
Ho  0.441  0.795  0.000
Ho  0.559  0.559  0.353
Ho  0.795  0.441  0.000
Er  0.000  0.000  0.000

2.
The following is a calculated powder diffraction line list of PmSm6Y6. It was derived from DFT lattice parameters and positions (PBE), using a wavelength of 1.5418 Å.

Top 6 peaks for 2θ = 10–80°, by angle:
- 24.82 deg, I = 51.0
- 28.96 deg, I = 100.0
- 29.69 deg, I = 54.7
- 31.73 deg, I = 37.7
- 33.77 deg, I = 89.6
- 38.50 deg, I = 40.5

Structure:
Cell: 6.684 6.684 11.048 Å, 90.00 90.00 115.07°
Atoms (fractional coordinates):
Pm  0.000  0.000  0.000
Sm  0.000  0.000  0.327
Sm  0.000  0.000  0.673
Sm  0.250  0.750  0.500
Sm  0.360  0.640  0.000
Sm  0.640  0.360  0.000
Sm  0.750  0.250  0.500
Y  0.000  0.500  0.223
Y  0.000  0.500  0.777
Y  0.500  0.000  0.223
Y  0.500  0.000  0.777
Y  0.500  0.500  0.312
Y  0.500  0.500  0.688

3.
The following is a calculated powder diffraction line list of La4Sn3Hg. It was derived from DFT lattice parameters and positions (PBE), using a wavelength of 1.5418 Å.

Top 6 peaks for 2θ = 10–80°, by angle:
- 28.27 deg, I = 100.0
- 29.77 deg, I = 30.7
- 35.44 deg, I = 81.6
- 35.88 deg, I = 22.0
- 38.07 deg, I = 28.3
- 39.75 deg, I = 25.1

Structure:
Cell: 4.535 4.727 12.004 Å, 90.00 90.00 90.00°
Atoms (fractional coordinates):
La  0.000  0.000  0.000
La  0.000  0.500  0.497
La  0.500  0.000  0.724
La  0.500  0.500  0.225
Sn  0.000  0.500  0.774
Sn  0.500  0.000  0.443
Sn  0.500  0.500  0.948
Hg  0.000  0.000  0.276

4.
The following is a calculated powder diffraction line list of PaSiF. It was derived from DFT lattice parameters and positions (PBE), using a wavelength of 1.5418 Å.

Top 6 peaks for 2θ = 10–80°, by angle:
- 24.25 deg, I = 48.6
- 25.83 deg, I = 44.8
- 26.27 deg, I = 100.0
- 30.48 deg, I = 48.1
- 33.54 deg, I = 53.3
- 38.42 deg, I = 72.5

Structure:
Cell: 3.808 13.795 3.896 Å, 90.00 90.00 90.00°
Atoms (fractional coordinates):
Pa  0.000  0.124  0.250
Pa  0.000  0.876  0.750
Pa  0.500  0.376  0.750
Pa  0.500  0.624  0.250
Si  0.000  0.453  0.250
Si  0.000  0.547  0.750
Si  0.500  0.047  0.750
Si  0.500  0.953  0.250
F  0.000  0.249  0.750
F  0.000  0.751  0.250
F  0.500  0.251  0.250
F  0.500  0.749  0.750

5.
The following is a calculated powder diffraction line list of LiPmIn3. It was derived from DFT lattice parameters and positions (PBE), using a wavelength of 1.5418 Å.

Top 6 peaks for 2θ = 10–80°, by angle:
- 24.32 deg, I = 25.7
- 27.56 deg, I = 20.7
- 30.96 deg, I = 41.8
- 33.41 deg, I = 37.2
- 33.61 deg, I = 100.0
- 38.27 deg, I = 29.2

Structure:
Cell: 4.703 7.217 7.320 Å, 90.00 90.00 90.00°
Atoms (fractional coordinates):
Li  0.250  0.250  0.040
Li  0.750  0.750  0.960
Pm  0.250  0.750  0.292
Pm  0.750  0.250  0.708
In  0.250  0.250  0.409
In  0.250  0.548  0.802
In  0.250  0.952  0.802
In  0.750  0.048  0.198
In  0.750  0.452  0.198
In  0.750  0.750  0.591

6.
The following is a calculated powder diffraction line list of GaBr2N. It was derived from DFT lattice parameters and positions (PBE), using a wavelength of 1.5418 Å.

Top 6 peaks for 2θ = 10–80°, by angle:
- 15.90 deg, I = 19.4
- 26.11 deg, I = 38.5
- 30.72 deg, I = 100.0
- 32.12 deg, I = 51.8
- 49.04 deg, I = 36.1
- 53.72 deg, I = 40.1

Structure:
Cell: 6.830 6.830 9.640 Å, 90.00 90.00 90.00°
Atoms (fractional coordinates):
Ga  0.000  0.250  0.375
Ga  0.000  0.750  0.625
Ga  0.500  0.250  0.125
Ga  0.500  0.750  0.875
Br  0.000  0.000  0.000
Br  0.000  0.500  0.000
Br  0.250  0.250  0.750
Br  0.250  0.750  0.250
Br  0.500  0.000  0.500
Br  0.500  0.500  0.500
Br  0.750  0.250  0.750
Br  0.750  0.750  0.250
N  0.000  0.250  0.875
N  0.000  0.750  0.125
N  0.500  0.250  0.625
N  0.500  0.750  0.375

What did the second record say?
The following is a calculated powder diffraction line list of PmSm6Y6. It was derived from DFT lattice parameters and positions (PBE), using a wavelength of 1.5418 Å.

Top 6 peaks for 2θ = 10–80°, by angle:
- 24.82 deg, I = 51.0
- 28.96 deg, I = 100.0
- 29.69 deg, I = 54.7
- 31.73 deg, I = 37.7
- 33.77 deg, I = 89.6
- 38.50 deg, I = 40.5

Structure:
Cell: 6.684 6.684 11.048 Å, 90.00 90.00 115.07°
Atoms (fractional coordinates):
Pm  0.000  0.000  0.000
Sm  0.000  0.000  0.327
Sm  0.000  0.000  0.673
Sm  0.250  0.750  0.500
Sm  0.360  0.640  0.000
Sm  0.640  0.360  0.000
Sm  0.750  0.250  0.500
Y  0.000  0.500  0.223
Y  0.000  0.500  0.777
Y  0.500  0.000  0.223
Y  0.500  0.000  0.777
Y  0.500  0.500  0.312
Y  0.500  0.500  0.688

Copy entry 1 word for word.
The following is a calculated powder diffraction line list of Nd6Ho4Er. It was derived from DFT lattice parameters and positions (PBE), using a wavelength of 1.5418 Å.

Top 6 peaks for 2θ = 10–80°, by angle:
- 28.47 deg, I = 100.0
- 29.92 deg, I = 32.7
- 30.04 deg, I = 92.3
- 34.17 deg, I = 64.1
- 37.48 deg, I = 27.6
- 37.63 deg, I = 27.7

Structure:
Cell: 9.598 9.598 9.598 Å, 138.76 138.76 59.74°
Atoms (fractional coordinates):
Nd  0.000  0.500  0.500
Nd  0.014  0.632  0.000
Nd  0.368  0.368  0.382
Nd  0.500  0.000  0.500
Nd  0.632  0.014  0.000
Nd  0.986  0.986  0.618
Ho  0.205  0.205  0.647
Ho  0.441  0.795  0.000
Ho  0.559  0.559  0.353
Ho  0.795  0.441  0.000
Er  0.000  0.000  0.000

Copy entry 6 word for word.
The following is a calculated powder diffraction line list of GaBr2N. It was derived from DFT lattice parameters and positions (PBE), using a wavelength of 1.5418 Å.

Top 6 peaks for 2θ = 10–80°, by angle:
- 15.90 deg, I = 19.4
- 26.11 deg, I = 38.5
- 30.72 deg, I = 100.0
- 32.12 deg, I = 51.8
- 49.04 deg, I = 36.1
- 53.72 deg, I = 40.1

Structure:
Cell: 6.830 6.830 9.640 Å, 90.00 90.00 90.00°
Atoms (fractional coordinates):
Ga  0.000  0.250  0.375
Ga  0.000  0.750  0.625
Ga  0.500  0.250  0.125
Ga  0.500  0.750  0.875
Br  0.000  0.000  0.000
Br  0.000  0.500  0.000
Br  0.250  0.250  0.750
Br  0.250  0.750  0.250
Br  0.500  0.000  0.500
Br  0.500  0.500  0.500
Br  0.750  0.250  0.750
Br  0.750  0.750  0.250
N  0.000  0.250  0.875
N  0.000  0.750  0.125
N  0.500  0.250  0.625
N  0.500  0.750  0.375